Structure and theoretical X-ray diffraction stick pattern of Pa3Tl3CuSe8 (a DFT-relaxed cell (PBE, Alexandria); Cu Ka).

Crystal structure
```
data_Pa3Tl3CuSe8
_chemical_formula_sum 'Pa3 Tl3 Cu1 Se8'
_space_group_name_H-M_alt 'P 1'
_space_group_IT_number 1
_cell_length_a 8.199
_cell_length_b 8.199
_cell_length_c 9.237
_cell_angle_alpha 116.35
_cell_angle_beta 116.35
_cell_angle_gamma 60.01
loop_
_space_group_symop_operation_xyz
'x,y,z'
loop_
_atom_site_label
_atom_site_type_symbol
_atom_site_fract_x
_atom_site_fract_y
_atom_site_fract_z
Pa1 Pa 0.000 0.000 0.000
Pa2 Pa 0.000 0.500 0.000
Pa3 Pa 0.500 0.000 0.000
Tl1 Tl 0.000 0.500 0.500
Tl2 Tl 0.500 0.000 0.500
Tl3 Tl 0.500 0.500 0.500
Cu1 Cu 0.500 0.500 0.000
Se1 Se 0.234 0.731 0.197
Se2 Se 0.237 0.237 0.209
Se3 Se 0.269 0.766 0.803
Se4 Se 0.270 0.270 0.805
Se5 Se 0.730 0.730 0.195
Se6 Se 0.731 0.234 0.197
Se7 Se 0.763 0.763 0.791
Se8 Se 0.766 0.269 0.803
```

Most intense lines, 2θ from 5° to 70°, in order of rising 2θ:
d_spacing  I_rel
6.097  17
3.966  12
3.402  18
3.049  100
2.280  38
2.050  35
1.701  18
1.425  13